Starting from a structure optimized by DFT (GGA-PBE), the X-ray diffraction stick pattern of La5NdInHg2 was simulated for a wavelength of 1.5418 Å.
Peak positions follow from Bragg's law for the DFT cell and can differ from measured ones.

Peak list (10 most intense, 5° ≤ 2θ ≤ 70°, in order of rising 2θ)
8.96°, 9.868 Å, I 176; 28.84°, 3.096 Å, I 601; 29.08°, 3.071 Å, I 1000; 32.27°, 2.774 Å, I 345; 34.19°, 2.623 Å, I 256; 36.20°, 2.481 Å, I 141; 36.42°, 2.467 Å, I 291; 41.76°, 2.163 Å, I 169; 49.44°, 1.843 Å, I 181; 55.59°, 1.653 Å, I 190

Structural model:
```
data_La5NdInHg2
_space_group_name_H-M_alt 'P 1'
_space_group_IT_number 1
_cell_length_a 11.321
_cell_length_b 11.321
_cell_length_c 11.321
_cell_angle_alpha 139.44
_cell_angle_beta 139.44
_cell_angle_gamma 58.70
loop_
_space_group_symop_operation_xyz
'x,y,z'
loop_
_atom_site_label
_atom_site_type_symbol
_atom_site_fract_x
_atom_site_fract_y
_atom_site_fract_z
La1 La 0.000 0.000 0.000
La2 La 0.078 0.578 0.926
La3 La 0.152 0.078 0.500
La4 La 0.348 0.848 0.926
La5 La 0.422 0.348 0.500
La6 La 0.500 0.500 0.000
La7 La 0.578 0.652 0.500
La8 La 0.652 0.152 0.074
La9 La 0.848 0.922 0.500
La10 La 0.922 0.422 0.074
Nd1 Nd 0.250 0.250 0.000
Nd2 Nd 0.750 0.750 0.000
In1 In 0.250 0.750 0.500
In2 In 0.750 0.250 0.500
Hg1 Hg 0.124 0.376 0.500
Hg2 Hg 0.376 0.876 0.253
Hg3 Hg 0.624 0.124 0.747
Hg4 Hg 0.876 0.624 0.500
```



Starting from a structure optimized by DFT (GGA-PBE), the X-ray diffraction stick pattern of LaPr2In3Hg6 was simulated for a wavelength of 1.5418 Å.
Peak positions follow from Bragg's law for the DFT cell and can differ from measured ones.

Peak list (10 most intense, 5° ≤ 2θ ≤ 70°, in order of rising 2θ)
20.98°, 4.235 Å, I 517; 29.51°, 3.027 Å, I 957; 32.00°, 2.797 Å, I 889; 34.04°, 2.634 Å, I 923; 34.65°, 2.589 Å, I 395; 36.51°, 2.461 Å, I 455; 36.80°, 2.442 Å, I 921; 41.75°, 2.163 Å, I 1000; 55.34°, 1.660 Å, I 418; 56.86°, 1.619 Å, I 519

Structural model:
```
data_LaPr2In3Hg6
_space_group_name_H-M_alt 'P 1'
_space_group_IT_number 1
_cell_length_a 4.327
_cell_length_b 4.327
_cell_length_c 20.711
_cell_angle_alpha 90.00
_cell_angle_beta 90.00
_cell_angle_gamma 90.00
loop_
_space_group_symop_operation_xyz
'x,y,z'
loop_
_atom_site_label
_atom_site_type_symbol
_atom_site_fract_x
_atom_site_fract_y
_atom_site_fract_z
La1 La 0.000 0.000 0.000
Pr1 Pr 0.000 0.000 0.287
Pr2 Pr 0.000 0.000 0.713
In1 In 0.500 0.500 0.224
In2 In 0.500 0.500 0.500
In3 In 0.500 0.500 0.776
Hg1 Hg 0.000 0.500 0.119
Hg2 Hg 0.000 0.500 0.881
Hg3 Hg 0.500 0.000 0.119
Hg4 Hg 0.500 0.000 0.881
Hg5 Hg 0.500 0.500 0.365
Hg6 Hg 0.500 0.500 0.635
```



Starting from a structure optimized by DFT (GGA-PBE), the X-ray diffraction stick pattern of La2SmIn3Hg6 was simulated for a wavelength of 1.5418 Å.
Peak positions follow from Bragg's law for the DFT cell and can differ from measured ones.

Peak list (10 most intense, 5° ≤ 2θ ≤ 70°, in order of rising 2θ)
20.89°, 4.252 Å, I 534; 29.38°, 3.040 Å, I 920; 31.93°, 2.803 Å, I 713; 34.02°, 2.635 Å, I 876; 36.55°, 2.459 Å, I 580; 37.04°, 2.427 Å, I 937; 41.55°, 2.174 Å, I 1000; 55.46°, 1.657 Å, I 338; 56.86°, 1.619 Å, I 538; 60.21°, 1.537 Å, I 336

Structural model:
```
data_La2SmIn3Hg6
_space_group_name_H-M_alt 'P 1'
_space_group_IT_number 1
_cell_length_a 4.347
_cell_length_b 4.347
_cell_length_c 20.480
_cell_angle_alpha 90.00
_cell_angle_beta 90.00
_cell_angle_gamma 90.00
loop_
_space_group_symop_operation_xyz
'x,y,z'
loop_
_atom_site_label
_atom_site_type_symbol
_atom_site_fract_x
_atom_site_fract_y
_atom_site_fract_z
La1 La 0.000 0.000 0.217
La2 La 0.000 0.000 0.783
Sm1 Sm 0.000 0.000 0.500
In1 In 0.500 0.500 0.000
In2 In 0.500 0.500 0.282
In3 In 0.500 0.500 0.718
Hg1 Hg 0.000 0.500 0.387
Hg2 Hg 0.000 0.500 0.613
Hg3 Hg 0.500 0.000 0.387
Hg4 Hg 0.500 0.000 0.613
Hg5 Hg 0.500 0.500 0.137
Hg6 Hg 0.500 0.500 0.863
```



Starting from a structure optimized by DFT (GGA-PBE), the X-ray diffraction stick pattern of LiIn4Hg6 was simulated for a wavelength of 1.5418 Å.
Peak positions follow from Bragg's law for the DFT cell and can differ from measured ones.

Peak list (10 most intense, 5° ≤ 2θ ≤ 70°, in order of rising 2θ)
29.46°, 3.032 Å, I 448; 30.95°, 2.889 Å, I 519; 31.40°, 2.849 Å, I 580; 31.78°, 2.816 Å, I 602; 32.20°, 2.780 Å, I 549; 33.05°, 2.710 Å, I 721; 35.17°, 2.552 Å, I 447; 37.05°, 2.426 Å, I 474; 37.57°, 2.394 Å, I 1000; 38.86°, 2.318 Å, I 466

Structural model:
```
data_LiIn4Hg6
_space_group_name_H-M_alt 'P 1'
_space_group_IT_number 1
_cell_length_a 4.788
_cell_length_b 21.889
_cell_length_c 5.920
_cell_angle_alpha 90.00
_cell_angle_beta 113.01
_cell_angle_gamma 90.00
loop_
_space_group_symop_operation_xyz
'x,y,z'
loop_
_atom_site_label
_atom_site_type_symbol
_atom_site_fract_x
_atom_site_fract_y
_atom_site_fract_z
Li1 Li 0.093 0.250 0.186
Li2 Li 0.907 0.750 0.814
In1 In 0.077 0.626 0.164
In2 In 0.077 0.874 0.164
In3 In 0.335 0.529 0.669
In4 In 0.335 0.971 0.669
In5 In 0.665 0.029 0.331
In6 In 0.665 0.471 0.331
In7 In 0.923 0.126 0.836
In8 In 0.923 0.374 0.836
Hg1 Hg 0.000 0.000 0.000
Hg2 Hg 0.000 0.500 0.000
Hg3 Hg 0.211 0.750 0.376
Hg4 Hg 0.237 0.124 0.471
Hg5 Hg 0.237 0.376 0.471
Hg6 Hg 0.439 0.676 0.879
Hg7 Hg 0.439 0.824 0.879
Hg8 Hg 0.561 0.176 0.121
Hg9 Hg 0.561 0.324 0.121
Hg10 Hg 0.763 0.624 0.529
Hg11 Hg 0.763 0.876 0.529
Hg12 Hg 0.789 0.250 0.624
```



Starting from a structure optimized by DFT (GGA-PBE), the X-ray diffraction stick pattern of Li4InHg15 was simulated for a wavelength of 1.5418 Å.
Peak positions follow from Bragg's law for the DFT cell and can differ from measured ones.

Peak list (10 most intense, 5° ≤ 2θ ≤ 70°, in order of rising 2θ)
18.20°, 4.875 Å, I 90; 20.07°, 4.424 Å, I 72; 34.21°, 2.621 Å, I 1000; 36.88°, 2.437 Å, I 232; 40.79°, 2.212 Å, I 163; 41.33°, 2.184 Å, I 128; 56.15°, 1.638 Å, I 130; 56.58°, 1.627 Å, I 108; 59.47°, 1.554 Å, I 89; 64.73°, 1.440 Å, I 162

Structural model:
```
data_Li4InHg15
_space_group_name_H-M_alt 'P 1'
_space_group_IT_number 1
_cell_length_a 4.424
_cell_length_b 4.875
_cell_length_c 21.843
_cell_angle_alpha 90.00
_cell_angle_beta 90.00
_cell_angle_gamma 90.00
loop_
_space_group_symop_operation_xyz
'x,y,z'
loop_
_atom_site_label
_atom_site_type_symbol
_atom_site_fract_x
_atom_site_fract_y
_atom_site_fract_z
Li1 Li 0.000 0.000 0.097
Li2 Li 0.000 0.000 0.289
Li3 Li 0.000 0.000 0.711
Li4 Li 0.000 0.000 0.903
In1 In 0.000 0.000 0.500
Hg1 Hg 0.000 0.500 0.000
Hg2 Hg 0.000 0.500 0.194
Hg3 Hg 0.000 0.500 0.393
Hg4 Hg 0.000 0.500 0.607
Hg5 Hg 0.000 0.500 0.806
Hg6 Hg 0.500 0.000 0.000
Hg7 Hg 0.500 0.000 0.193
Hg8 Hg 0.500 0.000 0.386
Hg9 Hg 0.500 0.000 0.614
Hg10 Hg 0.500 0.000 0.807
Hg11 Hg 0.500 0.500 0.097
Hg12 Hg 0.500 0.500 0.292
Hg13 Hg 0.500 0.500 0.500
Hg14 Hg 0.500 0.500 0.708
Hg15 Hg 0.500 0.500 0.903
```



Starting from a structure optimized by DFT (GGA-PBE), the X-ray diffraction stick pattern of LiIn2Hg was simulated for a wavelength of 1.5418 Å.
Peak positions follow from Bragg's law for the DFT cell and can differ from measured ones.

Peak list (10 most intense, 5° ≤ 2θ ≤ 70°, in order of rising 2θ)
9.54°, 9.275 Å, I 753; 28.88°, 3.092 Å, I 143; 30.40°, 2.941 Å, I 347; 33.62°, 2.666 Å, I 279; 34.80°, 2.578 Å, I 1000; 38.84°, 2.319 Å, I 176; 52.29°, 1.750 Å, I 148; 59.64°, 1.550 Å, I 106; 60.88°, 1.522 Å, I 201; 67.73°, 1.383 Å, I 125

Structural model:
```
data_LiIn2Hg
_space_group_name_H-M_alt 'P 1'
_space_group_IT_number 1
_cell_length_a 3.812
_cell_length_b 5.332
_cell_length_c 9.275
_cell_angle_alpha 90.00
_cell_angle_beta 90.00
_cell_angle_gamma 90.00
loop_
_space_group_symop_operation_xyz
'x,y,z'
loop_
_atom_site_label
_atom_site_type_symbol
_atom_site_fract_x
_atom_site_fract_y
_atom_site_fract_z
Li1 Li 0.000 0.000 0.000
Li2 Li 0.500 0.500 0.000
In1 In 0.000 0.500 0.236
In2 In 0.000 0.500 0.764
In3 In 0.500 0.000 0.236
In4 In 0.500 0.000 0.764
Hg1 Hg 0.000 0.000 0.500
Hg2 Hg 0.500 0.500 0.500
```



Starting from a structure optimized by DFT (GGA-PBE), the X-ray diffraction stick pattern of Li2In14Hg9 was simulated for a wavelength of 1.5418 Å.
Peak positions follow from Bragg's law for the DFT cell and can differ from measured ones.

Peak list (10 most intense, 5° ≤ 2θ ≤ 70°, in order of rising 2θ)
21.98°, 4.045 Å, I 282; 22.65°, 3.925 Å, I 934; 36.70°, 2.449 Å, I 1000; 37.55°, 2.395 Å, I 890; 43.19°, 2.095 Å, I 207; 43.94°, 2.061 Å, I 262; 44.30°, 2.045 Å, I 152; 53.52°, 1.712 Å, I 315; 65.53°, 1.425 Å, I 168; 67.21°, 1.393 Å, I 296

Structural model:
```
data_Li2In14Hg9
_space_group_name_H-M_alt 'P 1'
_space_group_IT_number 1
_cell_length_a 8.297
_cell_length_b 8.297
_cell_length_c 12.134
_cell_angle_alpha 90.00
_cell_angle_beta 90.00
_cell_angle_gamma 120.00
loop_
_space_group_symop_operation_xyz
'x,y,z'
loop_
_atom_site_label
_atom_site_type_symbol
_atom_site_fract_x
_atom_site_fract_y
_atom_site_fract_z
Li1 Li 0.333 0.667 0.252
Li2 Li 0.667 0.333 0.748
In1 In 0.000 0.000 0.253
In2 In 0.000 0.000 0.747
In3 In 0.001 0.680 0.422
In4 In 0.004 0.667 0.912
In5 In 0.320 0.001 0.578
In6 In 0.320 0.320 0.422
In7 In 0.333 0.336 0.912
In8 In 0.336 0.004 0.088
In9 In 0.664 0.996 0.912
In10 In 0.667 0.664 0.088
In11 In 0.680 0.680 0.578
In12 In 0.680 0.999 0.422
In13 In 0.996 0.333 0.088
In14 In 0.999 0.320 0.578
Hg1 Hg 0.000 0.000 0.000
Hg2 Hg 0.006 0.646 0.673
Hg3 Hg 0.333 0.667 0.003
Hg4 Hg 0.354 0.360 0.673
Hg5 Hg 0.360 0.006 0.327
Hg6 Hg 0.640 0.994 0.673
Hg7 Hg 0.646 0.640 0.327
Hg8 Hg 0.667 0.333 0.997
Hg9 Hg 0.994 0.354 0.327
```



Starting from a structure optimized by DFT (GGA-PBE), the X-ray diffraction stick pattern of Li5InHg was simulated for a wavelength of 1.5418 Å.
Peak positions follow from Bragg's law for the DFT cell and can differ from measured ones.

Peak list (10 most intense, 5° ≤ 2θ ≤ 70°, in order of rising 2θ)
22.79°, 3.902 Å, I 263; 23.97°, 3.713 Å, I 1000; 29.88°, 2.990 Å, I 136; 29.99°, 2.980 Å, I 134; 37.95°, 2.371 Å, I 371; 40.74°, 2.215 Å, I 253; 42.85°, 2.111 Å, I 132; 49.07°, 1.856 Å, I 145; 49.61°, 1.837 Å, I 143; 49.76°, 1.832 Å, I 142

Structural model:
```
data_Li5InHg
_space_group_name_H-M_alt 'P 1'
_space_group_IT_number 1
_cell_length_a 5.981
_cell_length_b 7.804
_cell_length_c 5.959
_cell_angle_alpha 90.00
_cell_angle_beta 90.00
_cell_angle_gamma 90.00
loop_
_space_group_symop_operation_xyz
'x,y,z'
loop_
_atom_site_label
_atom_site_type_symbol
_atom_site_fract_x
_atom_site_fract_y
_atom_site_fract_z
Li1 Li 0.000 0.000 0.000
Li2 Li 0.250 0.250 0.256
Li3 Li 0.250 0.250 0.744
Li4 Li 0.250 0.750 0.256
Li5 Li 0.250 0.750 0.744
Li6 Li 0.500 0.500 0.000
Li7 Li 0.750 0.250 0.256
Li8 Li 0.750 0.250 0.744
Li9 Li 0.750 0.750 0.256
Li10 Li 0.750 0.750 0.744
In1 In 0.000 0.000 0.500
In2 In 0.500 0.500 0.500
Hg1 Hg 0.000 0.500 0.000
Hg2 Hg 0.500 0.000 0.000
```



Starting from a structure optimized by DFT (GGA-PBE), the X-ray diffraction stick pattern of LiIn2Hg7 was simulated for a wavelength of 1.5418 Å.
Peak positions follow from Bragg's law for the DFT cell and can differ from measured ones.

Peak list (10 most intense, 5° ≤ 2θ ≤ 70°, in order of rising 2θ)
20.19°, 4.398 Å, I 111; 25.03°, 3.558 Å, I 581; 30.06°, 2.973 Å, I 258; 35.35°, 2.539 Å, I 1000; 36.03°, 2.492 Å, I 787; 43.80°, 2.067 Å, I 137; 51.37°, 1.779 Å, I 289; 57.49°, 1.603 Å, I 125; 63.45°, 1.466 Å, I 186; 63.89°, 1.457 Å, I 303

Structural model:
```
data_LiIn2Hg7
_space_group_name_H-M_alt 'P 1'
_space_group_IT_number 1
_cell_length_a 5.079
_cell_length_b 5.079
_cell_length_c 12.100
_cell_angle_alpha 90.00
_cell_angle_beta 90.00
_cell_angle_gamma 120.00
loop_
_space_group_symop_operation_xyz
'x,y,z'
loop_
_atom_site_label
_atom_site_type_symbol
_atom_site_fract_x
_atom_site_fract_y
_atom_site_fract_z
Li1 Li 0.000 0.000 0.000
In1 In 0.333 0.667 0.673
In2 In 0.667 0.333 0.349
Hg1 Hg 0.000 0.000 0.238
Hg2 Hg 0.000 0.000 0.763
Hg3 Hg 0.333 0.667 0.416
Hg4 Hg 0.333 0.667 0.992
Hg5 Hg 0.667 0.333 0.106
Hg6 Hg 0.667 0.333 0.592
Hg7 Hg 0.667 0.333 0.859
```



Starting from a structure optimized by DFT (GGA-PBE), the X-ray diffraction stick pattern of Li5In5Hg2 was simulated for a wavelength of 1.5418 Å.
Peak positions follow from Bragg's law for the DFT cell and can differ from measured ones.

Peak list (10 most intense, 5° ≤ 2θ ≤ 70°, in order of rising 2θ)
24.49°, 3.635 Å, I 702; 26.86°, 3.319 Å, I 422; 27.37°, 3.258 Å, I 808; 28.78°, 3.102 Å, I 550; 34.11°, 2.628 Å, I 241; 37.20°, 2.417 Å, I 1000; 37.75°, 2.383 Å, I 702; 38.36°, 2.347 Å, I 416; 40.21°, 2.243 Å, I 301; 54.49°, 1.684 Å, I 223

Structural model:
```
data_Li5In5Hg2
_space_group_name_H-M_alt 'P 1'
_space_group_IT_number 1
_cell_length_a 4.835
_cell_length_b 4.835
_cell_length_c 12.739
_cell_angle_alpha 101.71
_cell_angle_beta 101.71
_cell_angle_gamma 59.10
loop_
_space_group_symop_operation_xyz
'x,y,z'
loop_
_atom_site_label
_atom_site_type_symbol
_atom_site_fract_x
_atom_site_fract_y
_atom_site_fract_z
Li1 Li 0.000 0.000 0.000
Li2 Li 0.147 0.147 0.435
Li3 Li 0.398 0.398 0.188
Li4 Li 0.602 0.602 0.812
Li5 Li 0.853 0.853 0.565
In1 In 0.215 0.215 0.665
In2 In 0.308 0.308 0.929
In3 In 0.500 0.500 0.500
In4 In 0.692 0.692 0.071
In5 In 0.785 0.785 0.335
Hg1 Hg 0.077 0.077 0.217
Hg2 Hg 0.923 0.923 0.783
```



Starting from a structure optimized by DFT (GGA-PBE), the X-ray diffraction stick pattern of Li2In3Hg was simulated for a wavelength of 1.5418 Å.
Peak positions follow from Bragg's law for the DFT cell and can differ from measured ones.

Peak list (10 most intense, 5° ≤ 2θ ≤ 70°, in order of rising 2θ)
18.14°, 4.890 Å, I 394; 21.58°, 4.118 Å, I 495; 32.68°, 2.740 Å, I 978; 35.10°, 2.557 Å, I 934; 35.41°, 2.535 Å, I 1000; 36.09°, 2.489 Å, I 886; 39.55°, 2.278 Å, I 702; 40.10°, 2.249 Å, I 520; 41.67°, 2.167 Å, I 595; 56.73°, 1.623 Å, I 337

Structural model:
```
data_Li2In3Hg
_space_group_name_H-M_alt 'P 1'
_space_group_IT_number 1
_cell_length_a 5.430
_cell_length_b 6.291
_cell_length_c 8.702
_cell_angle_alpha 100.34
_cell_angle_beta 101.57
_cell_angle_gamma 107.69
loop_
_space_group_symop_operation_xyz
'x,y,z'
loop_
_atom_site_label
_atom_site_type_symbol
_atom_site_fract_x
_atom_site_fract_y
_atom_site_fract_z
Li1 Li 0.236 0.290 0.430
Li2 Li 0.257 0.949 0.078
Li3 Li 0.743 0.051 0.922
Li4 Li 0.764 0.710 0.570
In1 In 0.237 0.126 0.772
In2 In 0.238 0.444 0.098
In3 In 0.253 0.792 0.406
In4 In 0.747 0.208 0.594
In5 In 0.762 0.556 0.902
In6 In 0.763 0.874 0.228
Hg1 Hg 0.281 0.649 0.727
Hg2 Hg 0.719 0.351 0.273
```



Starting from a structure optimized by DFT (GGA-PBE), the X-ray diffraction stick pattern of Li3In2Hg9 was simulated for a wavelength of 1.5418 Å.
Peak positions follow from Bragg's law for the DFT cell and can differ from measured ones.

Peak list (10 most intense, 5° ≤ 2θ ≤ 70°, in order of rising 2θ)
26.38°, 3.378 Å, I 395; 26.97°, 3.306 Å, I 226; 27.44°, 3.251 Å, I 314; 31.68°, 2.824 Å, I 1000; 32.41°, 2.763 Å, I 754; 33.02°, 2.713 Å, I 812; 38.00°, 2.368 Å, I 653; 38.11°, 2.361 Å, I 771; 48.55°, 1.875 Å, I 291; 64.90°, 1.437 Å, I 290

Structural model:
```
data_Li3In2Hg9
_space_group_name_H-M_alt 'P 1'
_space_group_IT_number 1
_cell_length_a 8.203
_cell_length_b 8.203
_cell_length_c 12.016
_cell_angle_alpha 107.72
_cell_angle_beta 107.72
_cell_angle_gamma 59.74
loop_
_space_group_symop_operation_xyz
'x,y,z'
loop_
_atom_site_label
_atom_site_type_symbol
_atom_site_fract_x
_atom_site_fract_y
_atom_site_fract_z
Li1 Li 0.000 0.500 0.000
Li2 Li 0.165 0.684 0.529
Li3 Li 0.316 0.835 0.971
Li4 Li 0.500 0.000 0.500
Li5 Li 0.684 0.165 0.029
Li6 Li 0.835 0.316 0.471
In1 In 0.037 0.247 0.235
In2 In 0.247 0.037 0.735
In3 In 0.753 0.963 0.265
In4 In 0.963 0.753 0.765
Hg1 Hg 0.038 0.845 0.081
Hg2 Hg 0.132 0.580 0.261
Hg3 Hg 0.155 0.962 0.419
Hg4 Hg 0.179 0.352 0.580
Hg5 Hg 0.317 0.461 0.936
Hg6 Hg 0.352 0.179 0.080
Hg7 Hg 0.420 0.868 0.239
Hg8 Hg 0.428 0.572 0.750
Hg9 Hg 0.461 0.317 0.436
Hg10 Hg 0.539 0.683 0.564
Hg11 Hg 0.572 0.428 0.250
Hg12 Hg 0.580 0.132 0.761
Hg13 Hg 0.648 0.821 0.920
Hg14 Hg 0.683 0.539 0.064
Hg15 Hg 0.821 0.648 0.420
Hg16 Hg 0.845 0.038 0.581
Hg17 Hg 0.868 0.420 0.739
Hg18 Hg 0.962 0.155 0.919
```



What is the formula in the eleventh record?
Li2In3Hg